# 1
Structure and calculated X-ray powder pattern of PmPr2Sm4Dy (a crystal structure in Alexandria, relaxed with GGA-PBE; a wavelength of 1.5418 Å).
Peak positions follow from Bragg's law for the DFT cell and can differ from measured ones.

Most intense lines, 2θ = 5–70°, low angle first:
d 2.973, I = 100; d 2.575, I = 51; d 1.821, I = 30; d 1.818, I = 6; d 1.553, I = 36; d 1.551, I = 7; d 1.487, I = 12

Cell and atoms:
```
PmPr2Sm4Dy
1.0
5.146 0.000 0.000
0.000 5.152 0.000
-0.021 0.000 10.301
Pm Pr Sm Dy
1 2 4 1
Cartesian
0.000 0.000 0.000
-0.010 0.000 5.151
2.573 2.576 0.000
-0.004 2.576 2.596
5.130 2.576 7.705
2.568 0.000 2.590
2.558 0.000 7.711
2.563 2.576 5.151
```

=====

# 2
Structure and calculated X-ray powder pattern of PmPr2SmDy2 (a crystal structure in Alexandria, relaxed with GGA-PBE; a wavelength of 1.5418 Å).
Peak positions follow from Bragg's law for the DFT cell and can differ from measured ones.

Most intense lines, 2θ = 5–70°, low angle first:
d 3.540, I = 6; d 2.883, I = 100; d 2.874, I = 55; d 2.232, I = 10; d 2.036, I = 27; d 1.770, I = 7; d 1.661, I = 39; d 1.659, I = 5; d 1.507, I = 24; d 1.503, I = 3; d 1.437, I = 10

Cell and atoms:
```
PmPr2SmDy2
1.0
5.753 0.000 0.000
0.000 9.952 0.000
0.000 0.000 7.079
Pm Pr Sm Dy
2 4 2 4
Cartesian
0.000 9.949 0.000
0.000 0.003 3.540
0.000 3.288 1.766
0.000 6.664 5.306
2.877 4.979 7.077
2.877 4.973 3.538
2.877 1.638 5.311
2.877 8.314 1.771
0.000 3.321 5.308
0.000 6.632 1.768
2.877 1.656 1.769
2.877 8.296 5.309
```

=====

# 3
Structure and calculated X-ray powder pattern of TbPm2Pr4Dy (a crystal structure in Alexandria, relaxed with GGA-PBE; a wavelength of 1.5418 Å).
Peak positions follow from Bragg's law for the DFT cell and can differ from measured ones.

Most intense lines, 2θ = 5–70°, low angle first:
d 2.986, I = 100; d 2.602, I = 17; d 2.588, I = 17; d 2.568, I = 17; d 1.835, I = 12; d 1.827, I = 18; d 1.821, I = 6; d 1.566, I = 15; d 1.560, I = 14; d 1.551, I = 14; d 1.493, I = 12

Cell and atoms:
```
TbPm2Pr4Dy
1.0
5.176 0.000 0.000
0.000 5.204 0.000
-0.021 0.000 10.271
Tb Pm Pr Dy
1 2 4 1
Cartesian
0.000 0.000 0.000
-0.010 0.000 5.135
2.588 2.602 0.000
-0.003 2.602 2.575
5.158 2.602 7.696
2.583 0.000 2.567
2.572 0.000 7.704
2.577 2.602 5.135
```

=====

# 4
Structure and calculated X-ray powder pattern of Tb5Pm2PrDy (a crystal structure in Alexandria, relaxed with GGA-PBE; a wavelength of 1.5418 Å).
Peak positions follow from Bragg's law for the DFT cell and can differ from measured ones.

Most intense lines, 2θ = 5–70°, low angle first:
d 3.128, I = 48; d 3.109, I = 51; d 2.905, I = 100; d 2.781, I = 12; d 2.617, I = 12; d 2.432, I = 12; d 2.409, I = 17; d 2.114, I = 21; d 1.971, I = 10; d 1.935, I = 12; d 1.753, I = 22; d 1.643, I = 13

Cell and atoms:
```
Tb5Pm2PrDy
1.0
-4.397 4.397 7.740
4.397 -4.397 7.740
4.397 4.397 -7.740
Tb Pm Pr Dy
10 4 2 2
Cartesian
0.000 0.000 0.000
6.233 1.836 -2.115
1.836 2.560 -2.115
6.233 1.836 2.115
1.836 2.560 2.115
0.000 0.000 7.740
2.560 1.836 5.624
-1.836 2.560 5.624
2.560 1.836 9.855
-1.836 2.560 9.855
3.373 1.024 0.000
3.373 -1.024 7.740
1.024 5.420 0.000
1.024 3.373 7.740
0.000 0.000 3.870
0.000 0.000 11.609
4.397 0.000 3.870
0.000 4.397 3.870
```

=====

# 5
Structure and calculated X-ray powder pattern of TbPmPr4Dy2 (a crystal structure in Alexandria, relaxed with GGA-PBE; a wavelength of 1.5418 Å).
Peak positions follow from Bragg's law for the DFT cell and can differ from measured ones.

Most intense lines, 2θ = 5–70°, low angle first:
d 2.980, I = 100; d 2.953, I = 33; d 2.578, I = 45; d 2.569, I = 22; d 1.830, I = 8; d 1.825, I = 16; d 1.814, I = 24; d 1.559, I = 10; d 1.555, I = 24; d 1.551, I = 10; d 1.547, I = 9; d 1.490, I = 12

Cell and atoms:
```
TbPmPr4Dy2
1.0
6.317 0.000 0.000
0.000 3.660 0.000
-2.134 0.000 11.812
Tb Pm Pr Dy
1 1 4 2
Cartesian
0.000 0.000 0.000
-1.067 1.830 5.906
-0.023 0.000 8.884
1.053 1.830 2.947
3.130 1.830 8.865
4.206 0.000 2.927
2.091 0.000 5.906
3.158 1.830 0.000
```

=====

# 6
Structure and calculated X-ray powder pattern of TbPm2Pr2Dy2 (a crystal structure in Alexandria, relaxed with GGA-PBE; a wavelength of 1.5418 Å).
Peak positions follow from Bragg's law for the DFT cell and can differ from measured ones.

Most intense lines, 2θ = 5–70°, low angle first:
d 4.104, I = 1; d 2.887, I = 100; d 2.877, I = 97; d 2.361, I = 1; d 2.038, I = 36; d 1.771, I = 1; d 1.667, I = 20; d 1.665, I = 38; d 1.659, I = 18; d 1.444, I = 12; d 1.439, I = 11; d 1.427, I = 1

Cell and atoms:
```
TbPm2Pr2Dy2
1.0
2.887 1.667 8.208
-2.887 1.667 8.208
0.000 -3.334 8.208
Tb Pm Pr Dy
1 2 2 2
Cartesian
0.000 0.000 0.000
0.000 0.000 6.936
0.000 0.000 17.688
0.000 0.000 3.405
0.000 0.000 21.219
0.000 0.000 10.489
0.000 0.000 14.135
```